[1]
Diffraction record for Li3Fe5P6O24. The PXRD pattern is simulated, not measured: it uses DFT lattice parameters and positions (PBE+U) and Cu Kα, 1.54184 Å.
Kinematic intensities with the Lorentz-polarization factor, no thermal factor.

Atomic structure:
abc: 7.9591 8.4022 8.8558
angles: 105.23 109.74 108.56
Fractional coordinates of all 38 atoms:
Li (0.0000, 0.0000, 0.0000)
Li (0.2537, 0.5644, 0.7739)
Li (0.6413, 0.8196, 0.4772)
Fe (0.1622, 0.7486, 0.5114)
Fe (0.4302, 0.2370, 0.1553)
Fe (0.4882, 0.3555, 0.7125)
Fe (0.7588, 0.0468, 0.3172)
Fe (0.9328, 0.4513, 0.9245)
P (0.0783, 0.1644, 0.7322)
P (0.1799, 0.3700, 0.3595)
P (0.2806, 0.8620, 0.2239)
P (0.5908, 0.0473, 0.8845)
P (0.6645, 0.6047, 0.0853)
P (0.7802, 0.5098, 0.5499)
O (0.0086, 0.5937, 0.6022)
O (0.0780, 0.3554, 0.8100)
O (0.1188, 0.0853, 0.8687)
O (0.1404, 0.5364, 0.3499)
O (0.1834, 0.6706, 0.0686)
O (0.2059, 0.8720, 0.3657)
O (0.2444, 0.1818, 0.6741)
O (0.2444, 0.3141, 0.2183)
O (0.2456, 0.9989, 0.1473)
O (0.3420, 0.4344, 0.5483)
O (0.3855, 0.8868, 0.7324)
O (0.5075, 0.9189, 0.3194)
O (0.5192, 0.5679, 0.8951)
O (0.5475, 0.4695, 0.1422)
O (0.5625, 0.1029, 0.0550)
O (0.6438, 0.2167, 0.8294)
O (0.6637, 0.3130, 0.3922)
O (0.6967, 0.6400, 0.5208)
O (0.7475, 0.8075, 0.2085)
O (0.7493, 0.9838, 0.9131)
O (0.7596, 0.4685, 0.7122)
O (0.8382, 0.5667, 0.0754)
O (0.8765, 0.0436, 0.5594)
O (0.9860, 0.2086, 0.3199)

Principal peaks in the range 10° ≤ 2θ ≤ 80°, sorted by position:
2θ 12.21, d = 7.247 Å, I = 58; 2θ 18.60, d = 4.770 Å, I = 45; 2θ 21.47, d = 4.138 Å, I = 33; 2θ 22.05, d = 4.032 Å, I = 74; 2θ 26.03, d = 3.424 Å, I = 45; 2θ 26.90, d = 3.315 Å, I = 43; 2θ 28.00, d = 3.186 Å, I = 100; 2θ 28.62, d = 3.119 Å, I = 35

=====

[2]
Diffraction record for Li2FeP2O7. The PXRD pattern is simulated, not measured: it uses DFT lattice parameters and positions (PBE+U) and Cu Kα, 1.54184 Å.
Kinematic intensities with the Lorentz-polarization factor, no thermal factor.

Atomic structure:
abc: 8.1998 8.1998 8.1998
angles: 129.98 73.90 129.40
Fractional coordinates of all 24 atoms:
Li (0.2683, 0.0000, 0.7683)
Li (0.2683, 0.5000, 0.2683)
Li (0.7317, 0.0000, 0.2317)
Li (0.7317, 0.5000, 0.7317)
Fe (0.5000, 0.0000, 0.0000)
Fe (0.5000, 0.5000, 0.5000)
P (0.0776, 0.4382, 0.6394)
P (0.2988, 0.4382, 0.8606)
P (0.7012, 0.5618, 0.1394)
P (0.9224, 0.5618, 0.3606)
O (0.0812, 0.3312, 0.7500)
O (0.1562, 0.7142, 0.4420)
O (0.2024, 0.3816, 0.4541)
O (0.2024, 0.7483, 0.8208)
O (0.2279, 0.2858, 0.9420)
O (0.4275, 0.3816, 0.6792)
O (0.4275, 0.7483, 0.0459)
O (0.5725, 0.2517, 0.9541)
O (0.5725, 0.6184, 0.3208)
O (0.7721, 0.7142, 0.0580)
O (0.7976, 0.2517, 0.1792)
O (0.7976, 0.6184, 0.5459)
O (0.8438, 0.2858, 0.5580)
O (0.9188, 0.6688, 0.2500)

Principal peaks in the range 10° ≤ 2θ ≤ 80°, sorted by position:
2θ 13.51, d = 6.553 Å, I = 34; 2θ 14.33, d = 6.180 Å, I = 19; 2θ 18.00, d = 4.929 Å, I = 100; 2θ 24.00, d = 3.707 Å, I = 21; 2θ 29.54, d = 3.024 Å, I = 75; 2θ 32.82, d = 2.729 Å, I = 18; 2θ 37.58, d = 2.393 Å, I = 36; 2θ 59.32, d = 1.558 Å, I = 19